[1]
Computed powder diffraction line list of La5Pm2 for λ = 1.5418 Å (Cu Kα), from the GGA-PBE geometry in Alexandria.
Intensities are scaled so that the largest is 100.

Structure:
Cell lengths 11.7237, 5.2562, 8.2803 Å; angles 90.00, 98.08, 90.00 degrees
Space group C2/m (No. 12)
Asymmetric unit:
La 0.0000 0.0000 0.0000
La 0.0708 0.5000 0.7164
La 0.1426 0.0000 0.4299
Pm 0.2150 0.5000 0.1424

The 8 most intense peaks (15 to 90 degrees two-theta), by angle:
d (Å)	I/Imax
3.029	100
2.625	34
2.618	17
1.855	30
1.584	15
1.580	29
1.514	13
1.204	12

[2]
Computed powder diffraction line list of Pm14ErTh for λ = 1.5418 Å (Cu Kα), from the GGA-PBE geometry in Alexandria.
Intensities are scaled so that the largest is 100.

Structure:
Cell lengths 7.2684, 7.2684, 10.3118 Å; angles 90.00, 90.00, 90.00 degrees
Space group P4/mmm (No. 123)
Asymmetric unit:
Pm 0.0000 0.0000 0.0000
Pm 0.0000 0.5000 0.0000
Pm 0.0000 0.5000 0.5000
Pm 0.2483 0.2483 0.2532
Pm 0.5000 0.5000 0.0000
Er 0.5000 0.5000 0.5000
Th 0.0000 0.0000 0.5000

The 8 most intense peaks (15 to 90 degrees two-theta), by angle:
d (Å)	I/Imax
2.970	100
2.578	17
2.570	34
1.819	36
1.554	14
1.550	29
1.485	12
1.181	12

[3]
Computed powder diffraction line list of Sm4GaHgAu2 for λ = 1.5418 Å (Cu Kα), from the GGA-PBE geometry in Alexandria.
Intensities are scaled so that the largest is 100.

Structure:
Cell lengths 5.2366, 5.2366, 25.7283 Å; angles 90.00, 90.00, 120.00 degrees
Space group R-3m (No. 166, hexagonal axes)
Asymmetric unit:
Sm 0.0000 0.0000 0.1223
Sm 0.0000 0.0000 0.3724
Ga 0.0000 0.0000 0.0000
Hg 0.0000 0.0000 0.5000
Au 0.0000 0.0000 0.2485

The 8 most intense peaks (15 to 90 degrees two-theta), by angle:
d (Å)	I/Imax
2.621	100
1.853	18
1.516	9
1.512	28
1.312	6
1.309	6
1.173	8
1.171	8

[4]
Computed powder diffraction line list of Ce6Ga2Fe for λ = 1.5418 Å (Cu Kα), from the GGA-PBE geometry in Alexandria.
Intensities are scaled so that the largest is 100.

Structure:
Cell lengths 6.7308, 6.7308, 9.5083 Å; angles 90.00, 90.00, 90.00 degrees
Space group I4/mmm (No. 139)
Asymmetric unit:
Ce 0.0000 0.0000 0.2319
Ce 0.2331 0.2331 0.0000
Ga 0.0000 0.5000 0.2500
Fe 0.0000 0.0000 0.5000

The 8 most intense peaks (15 to 90 degrees two-theta), by angle:
d (Å)	I/Imax
4.758	14
2.747	100
2.379	63
2.183	8
1.682	41
1.434	36
1.373	13
1.091	14

[5]
Computed powder diffraction line list of Ba4Na2As for λ = 1.5418 Å (Cu Kα), from the GGA-PBE geometry in Alexandria.
Intensities are scaled so that the largest is 100.

Structure:
Cell lengths 6.4148, 6.4148, 19.2835 Å; angles 90.00, 90.00, 90.00 degrees
Space group I4/mmm (No. 139)
Asymmetric unit:
Ba 0.0000 0.0000 0.1691
Ba 0.0000 0.5000 0.0000
Na 0.0000 0.0000 0.3697
As 0.0000 0.0000 0.0000

The 8 most intense peaks (15 to 90 degrees two-theta), by angle:
d (Å)	I/Imax
4.539	23
4.104	64
3.304	66
3.209	100
2.269	73
1.870	21
1.853	25
1.310	23

[6]
Computed powder diffraction line list of GaCu2AgF8 for λ = 1.5418 Å (Cu Kα), from the GGA-PBE geometry in Alexandria.
Intensities are scaled so that the largest is 100.

Structure:
Cell lengths 6.7829, 6.7829, 7.0770 Å; angles 90.00, 90.00, 90.00 degrees
Space group I-4m2 (No. 119)
Asymmetric unit:
Ga 0.0000 0.0000 0.0000
Cu 0.0000 0.0000 0.5000
Cu 0.0000 0.5000 0.2500
Ag 0.0000 0.5000 0.7500
F 0.0000 0.1817 0.7080
F 0.0000 0.2716 0.0681

The 8 most intense peaks (15 to 90 degrees two-theta), by angle:
d (Å)	I/Imax
3.391	100
2.847	90
2.398	13
1.834	70
1.696	19
1.569	18
1.517	13
1.457	20

[7]
Computed powder diffraction line list of CaSmDy2Sb4 for λ = 1.5418 Å (Cu Kα), from the GGA-PBE geometry in Alexandria.
Intensities are scaled so that the largest is 100.

Structure:
Cell lengths 6.2753, 6.2753, 12.5593 Å; angles 90.00, 90.00, 90.00 degrees
Space group I4/mmm (No. 139)
Asymmetric unit:
Ca 0.0000 0.0000 0.0000
Sm 0.0000 0.0000 0.5000
Dy 0.0000 0.5000 0.2500
Sb 0.0000 0.0000 0.2522
Sb 0.0000 0.5000 0.0000

The 8 most intense peaks (15 to 90 degrees two-theta), by angle:
d (Å)	I/Imax
5.614	6
3.138	100
2.219	76
1.812	27
1.569	13
1.404	35
1.281	26
1.110	8

[8]
Computed powder diffraction line list of Tm5ThS6 for λ = 1.5418 Å (Cu Kα), from the GGA-PBE geometry in Alexandria.
Intensities are scaled so that the largest is 100.

Structure:
Cell lengths 6.7053, 11.6676, 6.7253 Å; angles 90.00, 109.75, 90.00 degrees
Space group C2/m (No. 12)
Asymmetric unit:
Tm 0.0000 0.0000 0.0000
Tm 0.0000 0.1663 0.5000
Tm 0.0000 0.3367 0.0000
Th 0.0000 0.5000 0.5000
S 0.2407 0.0000 0.7550
S 0.2422 0.1725 0.2427

The 8 most intense peaks (15 to 90 degrees two-theta), by angle:
d (Å)	I/Imax
3.171	68
3.156	22
2.743	100
1.943	36
1.938	24
1.656	26
1.587	13
1.122	13

[9]
Computed powder diffraction line list of Ba6LiNb2IrCl2O12 for λ = 1.5418 Å (Cu Kα), from the GGA-PBE geometry in Alexandria.
Intensities are scaled so that the largest is 100.

Structure:
Cell lengths 6.0607, 6.0607, 15.1255 Å; angles 90.00, 90.00, 120.00 degrees
Space group P-3m1 (No. 164)
Asymmetric unit:
Ba 0.3333 0.6667 0.0673
Ba 0.3333 0.6667 0.3559
Ba 0.3333 0.6667 0.7947
Li 0.0000 0.0000 0.5000
Nb 0.0000 0.0000 0.1826
Ir 0.0000 0.0000 0.0000
Cl 0.3333 0.6667 0.5718
O 0.1549 0.3098 0.9165
O 0.1605 0.3211 0.2426

The 8 most intense peaks (15 to 90 degrees two-theta), by angle:
d (Å)	I/Imax
4.959	28
3.636	27
3.068	55
3.030	100
2.328	21
2.157	30
1.757	28
1.515	22

[10]
Computed powder diffraction line list of Nd3SmSc3 for λ = 1.5418 Å (Cu Kα), from the GGA-PBE geometry in Alexandria.
Intensities are scaled so that the largest is 100.

Structure:
Cell lengths 8.4413, 8.4413, 21.4426 Å; angles 90.00, 90.00, 120.00 degrees
Space group R-3 (No. 148, hexagonal axes)
Asymmetric unit:
Nd 0.0449 0.4483 0.3818
Sm 0.0000 0.0000 0.1558
Sc 0.0045 0.2235 0.5560

The 8 most intense peaks (15 to 90 degrees two-theta), by angle:
d (Å)	I/Imax
3.634	100
3.020	75
2.825	35
2.782	31
2.740	98
2.727	86
2.676	40
1.691	29